No. 1
TmZr6Sn4: computed powder X-ray diffraction pattern (Cu Kα, 1.54184 Å), based on a DFT-relaxed cell (PBE, OQMD).

Largest 6 diffraction maxima, sorted by position, 10° ≤ 2θ ≤ 90°:
| d (Å) | Rel. int. |
| --- | --- |
| 3.048 | 74 |
| 2.663 | 100 |
| 2.624 | 100 |
| 2.423 | 99 |
| 2.416 | 84 |
| 2.312 | 76 |

Crystal structure
Cell lengths 8.731, 8.731, 8.731 Å; angles 40.87, 40.87, 40.87 degrees
Atoms (fractional coordinates):
1 Tm 0.000 0.000 0.000
2 Zr 0.107 0.604 0.604
3 Zr 0.396 0.396 0.893
4 Zr 0.396 0.893 0.396
5 Zr 0.604 0.107 0.604
6 Zr 0.604 0.604 0.107
7 Zr 0.893 0.396 0.396
8 Sn 0.123 0.123 0.123
9 Sn 0.333 0.333 0.333
10 Sn 0.667 0.667 0.667
11 Sn 0.877 0.877 0.877

***

No. 2
SmErSe2: computed powder X-ray diffraction pattern (Cu Kα, 1.54184 Å), based on a DFT-relaxed cell (PBE, OQMD).

Largest 6 diffraction maxima, sorted by position, 10° ≤ 2θ ≤ 90°:
| d (Å) | Rel. int. |
| --- | --- |
| 3.331 | 15 |
| 2.897 | 100 |
| 2.064 | 25 |
| 2.058 | 12 |
| 2.033 | 24 |
| 1.667 | 13 |

Crystal structure
Cell lengths 7.038, 4.077, 7.178 Å; angles 90.00, 109.21, 90.00 degrees
Atoms (fractional coordinates):
1 Sm 0.000 0.000 0.000
2 Sm 0.500 0.500 0.000
3 Er 0.000 0.500 0.500
4 Er 0.500 0.000 0.500
5 Se 0.246 0.000 0.737
6 Se 0.254 0.500 0.263
7 Se 0.746 0.500 0.737
8 Se 0.754 0.000 0.263

***

No. 3
HoTm2Sc3As2Os: computed powder X-ray diffraction pattern (Cu Kα, 1.54184 Å), based on a DFT-relaxed cell (PBE, OQMD).

Largest 6 diffraction maxima, sorted by position, 10° ≤ 2θ ≤ 90°:
| d (Å) | Rel. int. |
| --- | --- |
| 3.745 | 28 |
| 3.243 | 34 |
| 2.757 | 70 |
| 2.537 | 100 |
| 2.162 | 32 |
| 2.101 | 30 |

Crystal structure
Cell lengths 4.074, 7.489, 7.489 Å; angles 119.98, 90.00, 90.00 degrees
Atoms (fractional coordinates):
1 Ho 0.000 0.000 0.000
2 Tm 0.000 0.406 0.811
3 Tm 0.000 0.811 0.406
4 Sc 0.500 0.169 0.406
5 Sc 0.500 0.406 0.169
6 Sc 0.500 0.647 0.647
7 As 0.500 0.074 0.738
8 As 0.500 0.738 0.074
9 Os 0.000 0.411 0.411

***

No. 4
Al4Re9: computed powder X-ray diffraction pattern (Cu Kα, 1.54184 Å), based on a DFT-relaxed cell (PBE, OQMD).

Largest 6 diffraction maxima, sorted by position, 10° ≤ 2θ ≤ 90°:
| d (Å) | Rel. int. |
| --- | --- |
| 8.796 | 98 |
| 4.403 | 34 |
| 2.228 | 100 |
| 2.199 | 26 |
| 2.116 | 34 |
| 2.060 | 41 |

Crystal structure
Cell lengths 9.288, 9.288, 9.288 Å; angles 32.30, 32.30, 32.30 degrees
Atoms (fractional coordinates):
1 Al 0.048 0.048 0.048
2 Al 0.334 0.334 0.334
3 Al 0.666 0.666 0.666
4 Al 0.952 0.952 0.952
5 Re 0.083 0.590 0.590
6 Re 0.155 0.155 0.155
7 Re 0.410 0.410 0.917
8 Re 0.410 0.917 0.410
9 Re 0.500 0.500 0.500
10 Re 0.590 0.083 0.590
11 Re 0.590 0.590 0.083
12 Re 0.845 0.845 0.845
13 Re 0.917 0.410 0.410

***

No. 5
PmEr2N3: computed powder X-ray diffraction pattern (Cu Kα, 1.54184 Å), based on a DFT-relaxed cell (PBE, OQMD).

Largest 6 diffraction maxima, sorted by position, 10° ≤ 2θ ≤ 90°:
| d (Å) | Rel. int. |
| --- | --- |
| 2.836 | 100 |
| 2.456 | 72 |
| 1.737 | 49 |
| 1.481 | 45 |
| 1.127 | 19 |
| 1.099 | 22 |

Crystal structure
Cell lengths 3.473, 3.473, 8.513 Å; angles 90.00, 90.00, 120.00 degrees
Atoms (fractional coordinates):
1 Pm 0.000 0.000 0.000
2 Er 0.333 0.667 0.338
3 Er 0.667 0.333 0.662
4 N 0.000 0.000 0.500
5 N 0.333 0.667 0.822
6 N 0.667 0.333 0.178

***

No. 6
KHfCuTe2Se: computed powder X-ray diffraction pattern (Cu Kα, 1.54184 Å), based on a DFT-relaxed cell (PBE, OQMD).

Largest 6 diffraction maxima, sorted by position, 10° ≤ 2θ ≤ 90°:
| d (Å) | Rel. int. |
| --- | --- |
| 7.865 | 100 |
| 3.592 | 20 |
| 3.344 | 20 |
| 2.934 | 36 |
| 2.813 | 26 |
| 2.209 | 21 |

Crystal structure
Cell lengths 8.531, 4.041, 10.882 Å; angles 90.00, 112.78, 90.00 degrees
Atoms (fractional coordinates):
1 K 0.040 0.250 0.286
2 K 0.960 0.750 0.714
3 Hf 0.476 0.250 0.176
4 Hf 0.524 0.750 0.824
5 Cu 0.488 0.750 0.403
6 Cu 0.512 0.250 0.597
7 Te 0.298 0.750 0.554
8 Te 0.308 0.250 0.880
9 Te 0.692 0.750 0.120
10 Te 0.702 0.250 0.446
11 Se 0.271 0.750 0.175
12 Se 0.729 0.250 0.825

***

No. 7
Nd2Sm2C2I2Br3: computed powder X-ray diffraction pattern (Cu Kα, 1.54184 Å), based on a DFT-relaxed cell (PBE, OQMD).

Largest 6 diffraction maxima, sorted by position, 10° ≤ 2θ ≤ 90°:
| d (Å) | Rel. int. |
| --- | --- |
| 3.242 | 33 |
| 3.181 | 75 |
| 2.968 | 31 |
| 2.870 | 100 |
| 2.149 | 37 |
| 2.113 | 40 |

Crystal structure
Cell lengths 10.020, 10.020, 8.390 Å; angles 103.49, 103.49, 22.65 degrees
Atoms (fractional coordinates):
1 Nd 0.155 0.155 0.089
2 Nd 0.845 0.845 0.911
3 Sm 0.498 0.498 0.197
4 Sm 0.502 0.502 0.803
5 C 0.037 0.037 0.020
6 C 0.963 0.963 0.980
7 I 0.338 0.338 0.619
8 I 0.662 0.662 0.381
9 Br 0.000 0.000 0.500
10 Br 0.333 0.333 0.173
11 Br 0.667 0.667 0.827

***

No. 8
Fe3AgTe5: computed powder X-ray diffraction pattern (Cu Kα, 1.54184 Å), based on a DFT-relaxed cell (PBE, OQMD).

Largest 6 diffraction maxima, sorted by position, 10° ≤ 2θ ≤ 90°:
| d (Å) | Rel. int. |
| --- | --- |
| 3.035 | 97 |
| 2.806 | 100 |
| 2.275 | 24 |
| 2.060 | 78 |
| 1.660 | 33 |
| 1.597 | 34 |

Crystal structure
Cell lengths 5.611, 5.611, 7.771 Å; angles 90.00, 90.00, 120.00 degrees
Atoms (fractional coordinates):
1 Fe 0.000 0.500 0.000
2 Fe 0.500 0.000 0.000
3 Fe 0.500 0.500 0.000
4 Ag 0.000 0.000 0.500
5 Te 0.000 0.000 0.000
6 Te 0.333 0.667 0.262
7 Te 0.333 0.667 0.738
8 Te 0.667 0.333 0.262
9 Te 0.667 0.333 0.738

***

No. 9
In2Cu5Ni: computed powder X-ray diffraction pattern (Cu Kα, 1.54184 Å), based on a DFT-relaxed cell (PBE, OQMD).

Largest 6 diffraction maxima, sorted by position, 10° ≤ 2θ ≤ 90°:
| d (Å) | Rel. int. |
| --- | --- |
| 3.492 | 6 |
| 3.024 | 3 |
| 2.138 | 100 |
| 1.823 | 3 |
| 1.512 | 16 |
| 1.235 | 30 |

Crystal structure
Cell lengths 4.275, 4.275, 6.051 Å; angles 90.00, 90.00, 90.00 degrees
Atoms (fractional coordinates):
1 In 0.000 0.000 0.000
2 In 0.500 0.500 0.500
3 Cu 0.000 0.000 0.500
4 Cu 0.000 0.500 0.250
5 Cu 0.000 0.500 0.750
6 Cu 0.500 0.000 0.250
7 Cu 0.500 0.000 0.750
8 Ni 0.500 0.500 0.000

***

No. 10
DyHo2Ga3Cu2Ni: computed powder X-ray diffraction pattern (Cu Kα, 1.54184 Å), based on a DFT-relaxed cell (PBE, OQMD).

Largest 6 diffraction maxima, sorted by position, 10° ≤ 2θ ≤ 90°:
| d (Å) | Rel. int. |
| --- | --- |
| 2.611 | 100 |
| 2.394 | 79 |
| 2.268 | 43 |
| 1.987 | 24 |
| 1.535 | 28 |
| 1.494 | 23 |

Crystal structure
Cell lengths 3.973, 6.927, 6.927 Å; angles 119.96, 90.00, 90.00 degrees
Atoms (fractional coordinates):
1 Dy 0.000 0.000 0.000
2 Ho 0.000 0.410 0.820
3 Ho 0.000 0.820 0.410
4 Ga 0.500 0.175 0.411
5 Ga 0.500 0.411 0.175
6 Ga 0.500 0.646 0.646
7 Cu 0.500 0.078 0.743
8 Cu 0.500 0.743 0.078
9 Ni 0.000 0.411 0.411

***

No. 11
RbNa3Ag2Sb2: computed powder X-ray diffraction pattern (Cu Kα, 1.54184 Å), based on a DFT-relaxed cell (PBE, OQMD).

Largest 6 diffraction maxima, sorted by position, 10° ≤ 2θ ≤ 90°:
| d (Å) | Rel. int. |
| --- | --- |
| 4.964 | 100 |
| 4.178 | 57 |
| 2.804 | 45 |
| 2.660 | 37 |
| 2.636 | 68 |
| 2.375 | 55 |

Crystal structure
Cell lengths 6.061, 5.891, 6.769 Å; angles 90.00, 102.15, 90.00 degrees
Atoms (fractional coordinates):
1 Rb 0.000 0.000 0.000
2 Na 0.076 0.500 0.361
3 Na 0.368 0.000 0.656
4 Na 0.719 0.500 0.673
5 Ag 0.551 0.254 0.176
6 Ag 0.551 0.746 0.176
7 Sb 0.289 0.500 0.874
8 Sb 0.814 0.000 0.471

***

No. 12
HoErCN2O2: computed powder X-ray diffraction pattern (Cu Kα, 1.54184 Å), based on a DFT-relaxed cell (PBE, OQMD).

Largest 6 diffraction maxima, sorted by position, 10° ≤ 2θ ≤ 90°:
| d (Å) | Rel. int. |
| --- | --- |
| 8.116 | 53 |
| 2.957 | 100 |
| 2.501 | 45 |
| 1.833 | 28 |
| 1.710 | 25 |
| 1.518 | 20 |

Crystal structure
Cell lengths 3.667, 3.667, 8.116 Å; angles 90.00, 90.00, 120.00 degrees
Atoms (fractional coordinates):
1 Ho 0.000 0.000 0.000
2 Er 0.667 0.333 0.647
3 C 0.333 0.667 0.324
4 N 0.333 0.667 0.172
5 N 0.333 0.667 0.476
6 O 0.000 0.000 0.719
7 O 0.667 0.333 0.925

***

No. 13
NbPO5: computed powder X-ray diffraction pattern (Cu Kα, 1.54184 Å), based on a DFT-relaxed cell (PBE, OQMD).

Largest 6 diffraction maxima, sorted by position, 10° ≤ 2θ ≤ 90°:
| d (Å) | Rel. int. |
| --- | --- |
| 5.685 | 51 |
| 4.335 | 81 |
| 4.175 | 100 |
| 3.920 | 88 |
| 3.365 | 57 |
| 2.753 | 39 |

Crystal structure
Cell lengths 11.370, 6.700, 5.339 Å; angles 90.00, 90.00, 90.00 degrees
Atoms (fractional coordinates):
1 Nb 0.062 0.169 0.000
2 Nb 0.438 0.669 0.500
3 Nb 0.562 0.331 0.000
4 Nb 0.938 0.831 0.500
5 P 0.155 0.473 0.513
6 P 0.345 0.973 0.013
7 P 0.655 0.027 0.513
8 P 0.845 0.527 0.013
9 O 0.007 0.024 0.716
10 O 0.086 0.669 0.497
11 O 0.120 0.333 0.299
12 O 0.135 0.378 0.769
13 O 0.213 0.022 0.990
14 O 0.287 0.522 0.490
15 O 0.365 0.878 0.269
16 O 0.380 0.833 0.799
17 O 0.414 0.169 0.997
18 O 0.493 0.524 0.216
19 O 0.507 0.476 0.716
20 O 0.586 0.831 0.497
21 O 0.620 0.167 0.299
22 O 0.635 0.122 0.769
23 O 0.713 0.478 0.990
24 O 0.787 0.978 0.490
25 O 0.865 0.622 0.269
26 O 0.880 0.667 0.799
27 O 0.914 0.331 0.997
28 O 0.993 0.976 0.216